1.
Tb2PaMnN4: simulated powder diffraction line list (Cu Kα (λ = 1.5418 Å)), based on a crystal structure in Alexandria, relaxed with GGA-PBE.
Peak positions follow from Bragg's law for the DFT cell and can differ from measured ones.

The 10 most intense peaks (2θ from 10° to 90°), by angle:
2θ 27.72, d 3.218, intensity 94.9, (0 2 3); 2θ 30.42, d 2.939, intensity 31.9, (0 0 4); 2θ 31.55, d 2.835, intensity 100.0, (1 1 2); 2θ 31.73, d 2.820, intensity 53.0, (0 4 0); 2θ 36.56, d 2.458, intensity 42.9, (1 3 1); 2θ 38.97, d 2.311, intensity 65.6, (1 3 2); 2θ 47.82, d 1.902, intensity 31.6, (1 1 5); 2θ 51.10, d 1.788, intensity 29.1, (1 5 2); 2θ 53.36, d 1.717, intensity 27.8, (1 3 5); 2θ 54.13, d 1.694, intensity 25.8, (0 6 3)

```
data_Tb2PaMnN4
_chemical_formula_sum 'Tb8 Pa4 Mn4 N16'
_cell_length_a 3.379
_cell_length_b 11.282
_cell_length_c 11.755
_cell_angle_alpha 90.00
_cell_angle_beta 90.00
_cell_angle_gamma 90.00
_space_group_name_H-M_alt 'C m c m'
_space_group_IT_number 63
_space_group_name_Hall '-C 2c 2'
loop_
_atom_site_label
_atom_site_type_symbol
_atom_site_fract_x
_atom_site_fract_y
_atom_site_fract_z
Tb1 Tb 0.000 0.130 0.050
Pa1 Pa 0.000 0.391 0.250
Mn1 Mn 0.000 0.341 0.750
N1 N 0.000 0.039 0.250
N2 N 0.000 0.220 0.632
N3 N 0.000 0.500 0.000
```

2.
Pa2MnWN6: simulated powder diffraction line list (Cu Kα (λ = 1.5418 Å)), based on a crystal structure in Alexandria, relaxed with GGA-PBE.
Peak positions follow from Bragg's law for the DFT cell and can differ from measured ones.

The 10 most intense peaks (2θ from 10° to 90°), by angle:
2θ 18.62, d 4.766, intensity 15.5, (0 0 1); 2θ 30.45, d 2.936, intensity 100.0, (1 1 1); 2θ 34.03, d 2.635, intensity 38.3, (2 0 0); 2θ 37.75, d 2.383, intensity 10.4, (0 0 2); 2θ 45.16, d 2.008, intensity 13.5, (1 1 2); 2θ 48.89, d 1.863, intensity 18.4, (2 2 0); 2θ 51.72, d 1.767, intensity 22.0, (2 0 2); 2θ 58.69, d 1.573, intensity 32.3, (3 1 1); 2θ 63.37, d 1.468, intensity 9.7, (2 2 2); 2θ 63.67, d 1.462, intensity 9.1, (1 1 3)

```
data_Pa2MnWN6
_chemical_formula_sum 'Pa2 Mn1 W1 N6'
_cell_length_a 5.270
_cell_length_b 5.270
_cell_length_c 4.766
_cell_angle_alpha 90.00
_cell_angle_beta 90.00
_cell_angle_gamma 90.00
_space_group_name_H-M_alt 'P 4 m m'
_space_group_IT_number 99
_space_group_name_Hall 'P 4 -2'
loop_
_atom_site_label
_atom_site_type_symbol
_atom_site_fract_x
_atom_site_fract_y
_atom_site_fract_z
Pa1 Pa 0.000 0.500 0.000
Mn1 Mn 0.000 0.000 0.585
W1 W 0.500 0.500 0.580
N1 N 0.000 0.000 0.189
N2 N 0.251 0.251 0.724
N3 N 0.500 0.500 0.190
```

3.
Pa2MnZnN4: simulated powder diffraction line list (Cu Kα (λ = 1.5418 Å)), based on a crystal structure in Alexandria, relaxed with GGA-PBE.
Peak positions follow from Bragg's law for the DFT cell and can differ from measured ones.

The 10 most intense peaks (2θ from 10° to 90°), by angle:
2θ 18.94, d 4.686, intensity 50.5, (1 0 0); 2θ 30.43, d 2.938, intensity 35.3, (0 1 1); 2θ 32.33, d 2.769, intensity 78.9, (1 1 -1); 2θ 32.69, d 2.739, intensity 38.5, (0 0 2); 2θ 38.42, d 2.343, intensity 25.4, (2 0 0); 2θ 39.50, d 2.282, intensity 100.0, (1 1 1); 2θ 53.01, d 1.727, intensity 27.9, (1 1 -3); 2θ 60.95, d 1.520, intensity 18.1, (3 1 -1); 2θ 67.03, d 1.396, intensity 21.0, (3 1 -3); 2θ 67.65, d 1.385, intensity 23.4, (2 2 -2)

```
data_Pa2MnZnN4
_chemical_formula_sum 'Pa2 Mn1 Zn1 N4'
_cell_length_a 5.107
_cell_length_b 3.480
_cell_length_c 5.970
_cell_angle_alpha 90.00
_cell_angle_beta 113.41
_cell_angle_gamma 90.00
_space_group_name_H-M_alt 'P 1 2/m 1'
_space_group_IT_number 10
_space_group_name_Hall '-P 2y'
loop_
_atom_site_label
_atom_site_type_symbol
_atom_site_fract_x
_atom_site_fract_y
_atom_site_fract_z
Pa1 Pa 0.000 0.000 0.000
Pa2 Pa 0.000 0.500 0.500
Mn1 Mn 0.500 0.000 0.500
Zn1 Zn 0.500 0.500 0.000
N1 N 0.267 0.000 0.742
N2 N 0.277 0.500 0.271
```